Diffraction record for PmB2TeO8. The X-ray powder pattern is calculated, not measured: it uses DFT lattice parameters and positions (GGA-PBE) and copper Kα.
Neutral-atom scattering factors, no anomalous dispersion.

Most intense lines, 10° ≤ 2θ ≤ 80°, sorted by position:
Position (°2θ)	d [Å]	I (rel.)
21.2	4.189	100
23.4	3.806	48
25.0	3.566	31
32.7	2.742	41
33.3	2.690	43
35.8	2.509	18
39.8	2.264	30
44.1	2.052	31
46.8	1.939	15
50.1	1.822	16

Atomic structure:
Unit cell a=4.5604 b=4.5604 c=7.1359 alpha=91.70 beta=91.70 gamma=66.76
Fractional positions:
1 Pm 0.0000 0.0000 0.0000
2 B 0.3632 0.3632 0.7181
3 B 0.6368 0.6368 0.2819
4 Te 0.0000 0.0000 0.5000
5 O 0.2312 0.7224 0.7068
6 O 0.2491 0.2491 0.5471
7 O 0.2776 0.7688 0.2932
8 O 0.2965 0.2965 0.9029
9 O 0.7035 0.7035 0.0971
10 O 0.7224 0.2312 0.7068
11 O 0.7509 0.7509 0.4529
12 O 0.7688 0.2776 0.2932